No. 1
# Ac4InSb3
Theoretical powder XRD pattern, Cu Kα, 1.54184 Å. Input: a DFT-relaxed cell (PBE, Alexandria).
Peak positions follow from Bragg's law for the DFT cell and can differ from measured ones.

Crystal structure
Unit cell a=6.798 b=6.798 c=6.798 alpha=90.00 beta=90.00 gamma=90.00
Positions (direct):
Ac 0.000 0.000 0.000
Ac 0.000 0.500 0.500
Ac 0.500 0.000 0.500
Ac 0.500 0.500 0.000
In 0.500 0.500 0.500
Sb 0.000 0.000 0.500
Sb 0.000 0.500 0.000
Sb 0.500 0.000 0.000

Main lines, low angle first (15° ≤ 2θ ≤ 90°):
2θ = 22.66°, intensity 16
2θ = 26.22°, intensity 100
2θ = 37.42°, intensity 79
2θ = 46.27°, intensity 29
2θ = 53.95°, intensity 14
2θ = 60.95°, intensity 39
2θ = 67.50°, intensity 29
2θ = 85.76°, intensity 19



No. 2
# Rb2NaNdI6
Theoretical powder XRD pattern, Cu Kα, 1.54184 Å. Input: a DFT-relaxed cell (PBE, Alexandria).
Peak positions follow from Bragg's law for the DFT cell and can differ from measured ones.

Crystal structure
Unit cell a=8.478 b=8.966 c=14.728 alpha=90.00 beta=124.25 gamma=90.00
Positions (direct):
Rb 0.218 0.081 0.247
Rb 0.218 0.419 0.747
Rb 0.782 0.581 0.253
Rb 0.782 0.919 0.753
Na 0.000 0.000 0.500
Na 0.000 0.500 0.000
Nd 0.500 0.000 0.000
Nd 0.500 0.500 0.500
I 0.150 0.192 0.950
I 0.150 0.308 0.450
I 0.264 0.705 0.950
I 0.264 0.795 0.450
I 0.355 0.021 0.753
I 0.355 0.479 0.253
I 0.645 0.521 0.747
I 0.645 0.979 0.247
I 0.736 0.205 0.550
I 0.736 0.295 0.050
I 0.850 0.692 0.550
I 0.850 0.808 0.050

Main lines, low angle first (15° ≤ 2θ ≤ 90°):
2θ = 23.56°, intensity 51
2θ = 24.25°, intensity 74
2θ = 24.46°, intensity 99
2θ = 24.66°, intensity 93
2θ = 28.99°, intensity 100
2θ = 29.35°, intensity 71
2θ = 31.75°, intensity 50
2θ = 43.45°, intensity 63



No. 3
# Tb5Sb4C
Theoretical powder XRD pattern, Cu Kα, 1.54184 Å. Input: a DFT-relaxed cell (PBE, Alexandria).
Peak positions follow from Bragg's law for the DFT cell and can differ from measured ones.

Crystal structure
Unit cell a=7.355 b=7.355 c=7.355 alpha=100.09 beta=100.09 gamma=130.52
Positions (direct):
Tb 0.000 0.000 0.000
Tb 0.306 0.654 0.841
Tb 0.466 0.306 0.652
Tb 0.654 0.814 0.348
Tb 0.814 0.466 0.159
Sb 0.147 0.374 0.395
Sb 0.374 0.979 0.227
Sb 0.752 0.147 0.773
Sb 0.979 0.752 0.605
C 0.608 0.608 0.000

Main lines, low angle first (15° ≤ 2θ ≤ 90°):
2θ = 25.57°, intensity 19
2θ = 29.01°, intensity 58
2θ = 29.91°, intensity 100
2θ = 31.93°, intensity 21
2θ = 37.30°, intensity 25
2θ = 42.15°, intensity 79
2θ = 42.81°, intensity 27
2θ = 52.54°, intensity 27



No. 4
# Li2PaTl
Theoretical powder XRD pattern, Cu Kα, 1.54184 Å. Input: a DFT-relaxed cell (PBE, Alexandria).
Peak positions follow from Bragg's law for the DFT cell and can differ from measured ones.

Crystal structure
Unit cell a=11.360 b=11.360 c=11.360 alpha=15.79 beta=15.79 gamma=15.79
Positions (direct):
Li 0.092 0.092 0.092
Li 0.908 0.908 0.908
Pa 0.000 0.000 0.000
Tl 0.500 0.500 0.500

Main lines, low angle first (15° ≤ 2θ ≤ 90°):
2θ = 15.80°, intensity 100
2θ = 31.92°, intensity 21
2θ = 33.59°, intensity 53
2θ = 34.87°, intensity 46
2θ = 39.64°, intensity 33
2θ = 42.92°, intensity 28
2θ = 50.84°, intensity 16
2θ = 61.71°, intensity 18



No. 5
# LiTmPaO4
Theoretical powder XRD pattern, Cu Kα, 1.54184 Å. Input: a DFT-relaxed cell (PBE, Alexandria).
Peak positions follow from Bragg's law for the DFT cell and can differ from measured ones.

Crystal structure
Unit cell a=6.827 b=6.827 c=6.827 alpha=122.08 beta=117.29 gamma=90.60
Positions (direct):
Li 0.354 0.104 0.250
Li 0.646 0.896 0.750
Tm 0.000 0.000 0.500
Tm 0.000 0.500 0.000
Pa 0.000 0.500 0.500
Pa 0.500 0.500 0.000
O 0.192 0.730 0.462
O 0.232 0.270 0.962
O 0.237 0.260 0.523
O 0.237 0.713 0.977
O 0.763 0.287 0.023
O 0.763 0.740 0.477
O 0.768 0.730 0.038
O 0.808 0.270 0.538

Main lines, low angle first (15° ≤ 2θ ≤ 90°):
2θ = 15.51°, intensity 66
2θ = 16.28°, intensity 100
2θ = 30.03°, intensity 46
2θ = 31.30°, intensity 64
2θ = 32.89°, intensity 38
2θ = 37.15°, intensity 51
2θ = 37.45°, intensity 25
2θ = 53.78°, intensity 35



No. 6
# GaHgGeBr6
Theoretical powder XRD pattern, Cu Kα, 1.54184 Å. Input: a DFT-relaxed cell (PBE, Alexandria).
Peak positions follow from Bragg's law for the DFT cell and can differ from measured ones.

Crystal structure
Unit cell a=6.658 b=6.658 c=9.220 alpha=90.00 beta=90.00 gamma=120.00
Positions (direct):
Ga 0.000 0.000 0.000
Hg 0.333 0.667 0.500
Ge 0.667 0.333 0.000
Br 0.322 0.017 0.164
Br 0.322 0.305 0.836
Br 0.695 0.017 0.836
Br 0.695 0.678 0.164
Br 0.983 0.305 0.164
Br 0.983 0.678 0.836

Main lines, low angle first (15° ≤ 2θ ≤ 90°):
2θ = 18.15°, intensity 100
2θ = 28.51°, intensity 63
2θ = 29.06°, intensity 18
2θ = 33.20°, intensity 92
2θ = 42.63°, intensity 22
2θ = 47.30°, intensity 31
2θ = 48.01°, intensity 33
2θ = 78.82°, intensity 21



No. 7
# LaTb6Ce2Tm3
Theoretical powder XRD pattern, Cu Kα, 1.54184 Å. Input: a DFT-relaxed cell (PBE, Alexandria).
Peak positions follow from Bragg's law for the DFT cell and can differ from measured ones.

Crystal structure
Unit cell a=6.143 b=6.143 c=11.768 alpha=95.00 beta=95.00 gamma=120.02
Positions (direct):
La 0.000 0.000 0.000
Tb 0.085 0.422 0.252
Tb 0.252 0.252 0.748
Tb 0.422 0.085 0.252
Tb 0.578 0.915 0.748
Tb 0.748 0.748 0.252
Tb 0.915 0.578 0.748
Ce 0.333 0.667 0.000
Ce 0.667 0.333 0.000
Tm 0.167 0.833 0.500
Tm 0.500 0.500 0.500
Tm 0.833 0.167 0.500

Main lines, low angle first (15° ≤ 2θ ≤ 90°):
2θ = 30.88°, intensity 100
2θ = 35.80°, intensity 51
2θ = 51.53°, intensity 36
2θ = 61.29°, intensity 43
2θ = 64.34°, intensity 12
2θ = 84.11°, intensity 12
2θ = 84.15°, intensity 6
2θ = 86.84°, intensity 17



No. 8
# Pm2Sm2DyEr2
Theoretical powder XRD pattern, Cu Kα, 1.54184 Å. Input: a DFT-relaxed cell (PBE, Alexandria).
Peak positions follow from Bragg's law for the DFT cell and can differ from measured ones.

Crystal structure
Unit cell a=8.811 b=8.811 c=8.811 alpha=37.81 beta=37.81 gamma=37.81
Positions (direct):
Pm 0.139 0.139 0.139
Pm 0.861 0.861 0.861
Sm 0.283 0.283 0.283
Sm 0.717 0.717 0.717
Dy 0.000 0.000 0.000
Er 0.428 0.428 0.428
Er 0.572 0.572 0.572

Main lines, low angle first (15° ≤ 2θ ≤ 90°):
2θ = 31.32°, intensity 100
2θ = 44.88°, intensity 19
2θ = 55.74°, intensity 39
2θ = 65.34°, intensity 12
2θ = 74.25°, intensity 16
2θ = 82.66°, intensity 1
2θ = 82.81°, intensity 3



No. 9
# HoScO4
Theoretical powder XRD pattern, Cu Kα, 1.54184 Å. Input: a DFT-relaxed cell (PBE, Alexandria).
Peak positions follow from Bragg's law for the DFT cell and can differ from measured ones.

Crystal structure
Unit cell a=3.812 b=3.812 c=5.970 alpha=95.13 beta=95.13 gamma=55.83
Positions (direct):
Ho 0.000 0.000 0.000
Sc 0.642 0.642 0.546
O 0.224 0.224 0.335
O 0.418 0.418 0.237
O 0.674 0.674 0.906
O 0.964 0.964 0.616

Main lines, low angle first (15° ≤ 2θ ≤ 90°):
2θ = 26.60°, intensity 41
2θ = 28.33°, intensity 51
2θ = 30.09°, intensity 42
2θ = 31.51°, intensity 100
2θ = 31.97°, intensity 38
2θ = 32.81°, intensity 30
2θ = 42.83°, intensity 30
2θ = 48.05°, intensity 33



- Number 1 is which compound?
  Ac4InSb3



- What is the formula in the first record?
  Ac4InSb3